(1)
Computed powder X-ray diffraction pattern of NdDy12Th3 for Cu Kα, from a cell relaxed with PBE.

Largest 8 diffraction maxima, sorted by position, 2θ = 5–70°:
2θ 17.6, rel. 1
2θ 25.0, rel. 1
2θ 30.8, rel. 100
2θ 35.7, rel. 51
2θ 40.1, rel. 1
2θ 51.4, rel. 36
2θ 61.1, rel. 43
2θ 64.2, rel. 12

Crystal structure
a b c (Å): 5.0303 5.0303 20.0894
angles (deg): 90.00 90.00 90.00
Positions (direct):
Nd: 0.0000 0.0000 0.0000
Dy: 0.0000 0.5000 0.1281
Dy: 0.0000 0.5000 0.3759
Dy: 0.0000 0.5000 0.6241
Dy: 0.0000 0.5000 0.8719
Dy: 0.5000 0.0000 0.1281
Dy: 0.5000 0.0000 0.3759
Dy: 0.5000 0.0000 0.6241
Dy: 0.5000 0.0000 0.8719
Dy: 0.5000 0.5000 0.0000
Dy: 0.5000 0.5000 0.2512
Dy: 0.5000 0.5000 0.5000
Dy: 0.5000 0.5000 0.7488
Th: 0.0000 0.0000 0.2515
Th: 0.0000 0.0000 0.5000
Th: 0.0000 0.0000 0.7485

---

(2)
Computed powder X-ray diffraction pattern of TbTiFe4 for Cu Kα, from a cell relaxed with PBE.

Largest 9 diffraction maxima, sorted by position, 2θ = 5–70°:
2θ 21.8, rel. 16
2θ 25.2, rel. 16
2θ 36.0, rel. 45
2θ 42.5, rel. 100
2θ 44.5, rel. 26
2θ 56.9, rel. 4
2θ 58.5, rel. 7
2θ 64.7, rel. 16
2θ 69.2, rel. 30

Crystal structure
a b c (Å): 4.9885 4.9885 4.9885
angles (deg): 60.00 60.00 60.00
Positions (direct):
Tb: 0.0000 0.0000 0.0000
Ti: 0.7500 0.7500 0.7500
Fe: 0.3756 0.3756 0.3756
Fe: 0.3756 0.3756 0.8733
Fe: 0.3756 0.8733 0.3756
Fe: 0.8733 0.3756 0.3756

---

(3)
Computed powder X-ray diffraction pattern of ErCN3 for Cu Kα, from a cell relaxed with PBE.

Largest 10 diffraction maxima, sorted by position, 2θ = 5–70°:
2θ 21.5, rel. 100
2θ 29.4, rel. 25
2θ 31.4, rel. 89
2θ 31.8, rel. 28
2θ 33.5, rel. 17
2θ 34.2, rel. 34
2θ 47.4, rel. 45
2θ 48.7, rel. 38
2θ 50.9, rel. 15
2θ 63.4, rel. 16

Crystal structure
a b c (Å): 6.3145 6.3145 5.6287
angles (deg): 90.00 90.00 148.42
Positions (direct):
Er: 0.1521 0.8479 0.7500
Er: 0.8479 0.1521 0.2500
C: 0.4129 0.5871 0.7500
C: 0.5871 0.4129 0.2500
N: 0.3457 0.6543 0.5599
N: 0.3457 0.6543 0.9401
N: 0.4769 0.5231 0.2500
N: 0.5231 0.4769 0.7500
N: 0.6543 0.3457 0.0599
N: 0.6543 0.3457 0.4401